Starting from DFT lattice parameters and positions (GGA-PBE), the X-ray diffraction stick pattern of BaLa14Pm was calculated for Cu Ka.
No peak broadening, texture or thermal motion is included.

Main lines, most intense first (2θ from 15° to 90°):
| (hkl) | d_spacing | Rel. int. |
| --- | --- | --- |
| 2 0 2 | 3.059 | 100 |
| 2 2 0 | 2.653 | 34 |
| 4 2 2 | 1.599 | 28 |
| 2 2 4 | 1.872 | 24 |
| 0 0 4 | 2.640 | 17 |
| 2 0 6 | 1.594 | 14 |
| 4 0 4 | 1.529 | 12 |
| 4 0 0 | 1.876 | 12 |

Cell and atoms:
```
data_BaLa14Pm
_cell_length_a 7.5044
_cell_length_b 7.5044
_cell_length_c 10.5613
_cell_angle_alpha 90.00
_cell_angle_beta 90.00
_cell_angle_gamma 90.00
_space_group_name_H-M_alt 'P 4/m m m'
_space_group_IT_number 123
_space_group_name_Hall '-P 4 2'
loop_
_atom_site_label
_atom_site_fract_x
_atom_site_fract_y
_atom_site_fract_z
Ba1 0.0000 0.0000 0.0000
La1 0.0000 0.0000 0.5000
La2 0.0000 0.5000 0.0000
La3 0.0000 0.5000 0.5000
La4 0.2589 0.2589 0.2561
La5 0.5000 0.5000 0.5000
Pm1 0.5000 0.5000 0.0000
```